Diffraction record for RbCd10Bi. The powder diffractogram is theoretical, not measured: it uses a structure optimized by DFT (GGA-PBE) and Cu Ka.
No peak broadening, texture or thermal motion is included.

Principal peaks in the range 15° ≤ 2θ ≤ 90°, sorted by position:
| d_spacing | 2theta | intensity | h k l |
| --- | --- | --- | --- |
| 3.623 | 24.57 | 22.9 | 1 1 1 |
| 3.066 | 29.13 | 21.5 | 0 1 3 |
| 2.703 | 33.15 | 33.1 | 0 2 2 |
| 2.646 | 33.87 | 54.4 | 1 2 0 |
| 2.632 | 34.06 | 17.3 | 0 0 4 |
| 2.596 | 34.55 | 100.0 | 1 1 3 |
| 2.441 | 36.82 | 46.7 | 2 0 0 |
| 2.364 | 38.06 | 32.7 | 1 2 2 |
| 1.812 | 50.37 | 20.2 | 2 2 2 |
| 1.690 | 54.27 | 27.2 | 1 3 3 |
| 1.533 | 60.39 | 19.3 | 0 2 6 |
| 1.298 | 72.86 | 22.2 | 2 2 6 |

Crystal structure
```
RbCd10Bi
1.0
4.882 0.000 0.000
0.000 6.298 0.000
0.000 0.000 10.529
Rb Cd Bi
1 10 1
Direct
0.000 0.000 0.000 Rb
0.000 0.000 0.345 Cd
0.000 0.000 0.655 Cd
0.000 0.500 0.183 Cd
0.000 0.500 0.817 Cd
0.500 0.000 0.500 Cd
0.500 0.247 0.249 Cd
0.500 0.247 0.751 Cd
0.500 0.500 0.000 Cd
0.500 0.753 0.249 Cd
0.500 0.753 0.751 Cd
0.000 0.500 0.500 Bi
```